Theoretical powder diffraction line list
Compound: ErBiPd
Radiation: Cu Kα
Structure: a structure optimized by DFT (GGA-PBE)

```
ErBiPd
1.0
0.0000 3.4302 3.4302
3.4302 0.0000 3.4302
3.4302 3.4302 0.0000
Er Bi Pd
1 1 1
Direct
0.0000 0.0000 0.0000
0.7500 0.7500 0.7500
0.5000 0.5000 0.5000
```

Main lines, in order of rising 2θ (2θ from 10° to 90°):
- 3.961 Å, 2θ = 22.45°, I = 47
- 3.430 Å, 2θ = 25.98°, I = 3
- 2.426 Å, 2θ = 37.06°, I = 100
- 2.069 Å, 2θ = 43.76°, I = 25
- 1.715 Å, 2θ = 53.42°, I = 18
- 1.574 Å, 2θ = 58.66°, I = 11
- 1.400 Å, 2θ = 66.80°, I = 36
- 1.320 Å, 2θ = 71.45°, I = 8
- 1.213 Å, 2θ = 78.94°, I = 11
- 1.160 Å, 2θ = 83.33°, I = 9